1.
Structure and computed PXRD pattern of Ba2MgCu3F14 (the PBE geometry in Alexandria; Cu Kα (weighted mean of Kα1 and Kα2)).

Top 10 peaks for 10° ≤ 2θ ≤ 90°, sorted by position:
24.44°, d 3.642, I = 58; 25.38°, d 3.509, I = 100; 25.96°, d 3.432, I = 89; 27.46°, d 3.248, I = 42; 28.13°, d 3.173, I = 34; 28.54°, d 3.128, I = 38; 28.78°, d 3.102, I = 45; 30.44°, d 2.937, I = 87; 34.05°, d 2.633, I = 39; 41.28°, d 2.187, I = 40

Atomic structure:
```
Ba2MgCu3F14
1.0
5.2670 0.0000 0.0000
2.4801 6.9205 0.0000
0.1089 0.2767 14.5687
Ba Mg Cu F
4 2 6 28
Direct
0.0000 0.0000 0.0000
0.1135 0.9936 0.5019
0.3804 0.2411 0.7409
0.4966 0.2347 0.2429
0.7012 0.5972 0.8720
0.7946 0.6363 0.3708
0.1201 0.8490 0.7494
0.1381 0.8436 0.2486
0.3587 0.3913 0.9946
0.3731 0.3854 0.4930
0.7467 0.6170 0.6212
0.7484 0.6175 0.1214
0.0673 0.1083 0.2134
0.0764 0.3891 0.9089
0.0798 0.3669 0.5756
0.1304 0.6311 0.4565
0.1311 0.4559 0.1052
0.1508 0.5908 0.2828
0.2219 0.2722 0.3983
0.2699 0.9634 0.8439
0.3457 0.6441 0.9601
0.3628 0.6036 0.7862
0.3656 0.7788 0.1378
0.4138 0.8672 0.6668
0.4207 0.8453 0.3340
0.4298 0.1264 0.0295
0.5110 0.4683 0.6044
0.5708 0.1290 0.5349
0.6332 0.3098 0.8961
0.6343 0.7295 0.5004
0.6628 0.3759 0.0788
0.6637 0.3998 0.4103
0.7271 0.5217 0.2440
0.7698 0.7127 0.9987
0.8296 0.8343 0.8320
0.8341 0.8588 0.1642
0.8592 0.5043 0.7422
0.8631 0.9258 0.3466
0.9223 0.1050 0.7070
0.9827 0.7654 0.6381
```


2.
Structure and computed PXRD pattern of Ca4Tl (the PBE geometry in Alexandria; Cu Kα (weighted mean of Kα1 and Kα2)).

Top 10 peaks for 10° ≤ 2θ ≤ 90°, sorted by position:
14.50°, d 6.109, I = 100; 17.90°, d 4.957, I = 70; 24.41°, d 3.647, I = 32; 26.84°, d 3.321, I = 35; 29.38°, d 3.040, I = 53; 31.74°, d 2.819, I = 45; 35.54°, d 2.526, I = 32; 35.90°, d 2.502, I = 28; 37.33°, d 2.409, I = 28; 38.16°, d 2.359, I = 29

Atomic structure:
```
Ca4Tl
1.0
0.0000 7.7829 3.8782
6.4292 0.0000 3.8782
6.4292 7.7829 0.0000
Ca Tl
8 2
Direct
0.0335 0.9665 0.1876
0.0624 0.4376 0.2165
0.0896 0.5192 0.7777
0.4376 0.0624 0.2835
0.4723 0.6364 0.1604
0.5192 0.0896 0.6136
0.6364 0.4723 0.7308
0.9665 0.0335 0.8124
0.6440 0.6440 0.3560
0.8940 0.8940 0.6060
```


3.
Structure and computed PXRD pattern of Cu2Si2Ni3 (the PBE geometry in Alexandria; Cu Kα (weighted mean of Kα1 and Kα2)).

Top 10 peaks for 10° ≤ 2θ ≤ 90°, sorted by position:
26.78°, d 3.329, I = 27; 28.05°, d 3.181, I = 9; 43.20°, d 2.094, I = 82; 46.48°, d 1.954, I = 100; 47.33°, d 1.920, I = 45; 65.38°, d 1.427, I = 15; 68.51°, d 1.370, I = 14; 83.88°, d 1.153, I = 14; 86.29°, d 1.127, I = 10; 86.92°, d 1.121, I = 9

Atomic structure:
```
Cu2Si2Ni3
1.0
6.7744 0.0000 0.0000
0.0000 3.9032 0.0000
-2.2483 0.0000 6.2201
Cu Si Ni
4 4 6
Direct
0.1339 0.0000 0.4016
0.3661 0.5000 0.5984
0.6339 0.5000 0.4016
0.8661 0.0000 0.5984
0.0980 0.5000 0.7948
0.4020 0.0000 0.2052
0.5980 0.0000 0.7948
0.9020 0.5000 0.2052
0.0000 0.0000 0.0000
0.2294 0.5000 0.1882
0.2706 0.0000 0.8118
0.5000 0.5000 0.0000
0.7294 0.0000 0.1882
0.7706 0.5000 0.8118
```


What did the first record say?
Structure and computed PXRD pattern of Ba2MgCu3F14 (the PBE geometry in Alexandria; Cu Kα (weighted mean of Kα1 and Kα2)).

Top 10 peaks for 10° ≤ 2θ ≤ 90°, sorted by position:
24.44°, d 3.642, I = 58; 25.38°, d 3.509, I = 100; 25.96°, d 3.432, I = 89; 27.46°, d 3.248, I = 42; 28.13°, d 3.173, I = 34; 28.54°, d 3.128, I = 38; 28.78°, d 3.102, I = 45; 30.44°, d 2.937, I = 87; 34.05°, d 2.633, I = 39; 41.28°, d 2.187, I = 40

Atomic structure:
```
Ba2MgCu3F14
1.0
5.2670 0.0000 0.0000
2.4801 6.9205 0.0000
0.1089 0.2767 14.5687
Ba Mg Cu F
4 2 6 28
Direct
0.0000 0.0000 0.0000
0.1135 0.9936 0.5019
0.3804 0.2411 0.7409
0.4966 0.2347 0.2429
0.7012 0.5972 0.8720
0.7946 0.6363 0.3708
0.1201 0.8490 0.7494
0.1381 0.8436 0.2486
0.3587 0.3913 0.9946
0.3731 0.3854 0.4930
0.7467 0.6170 0.6212
0.7484 0.6175 0.1214
0.0673 0.1083 0.2134
0.0764 0.3891 0.9089
0.0798 0.3669 0.5756
0.1304 0.6311 0.4565
0.1311 0.4559 0.1052
0.1508 0.5908 0.2828
0.2219 0.2722 0.3983
0.2699 0.9634 0.8439
0.3457 0.6441 0.9601
0.3628 0.6036 0.7862
0.3656 0.7788 0.1378
0.4138 0.8672 0.6668
0.4207 0.8453 0.3340
0.4298 0.1264 0.0295
0.5110 0.4683 0.6044
0.5708 0.1290 0.5349
0.6332 0.3098 0.8961
0.6343 0.7295 0.5004
0.6628 0.3759 0.0788
0.6637 0.3998 0.4103
0.7271 0.5217 0.2440
0.7698 0.7127 0.9987
0.8296 0.8343 0.8320
0.8341 0.8588 0.1642
0.8592 0.5043 0.7422
0.8631 0.9258 0.3466
0.9223 0.1050 0.7070
0.9827 0.7654 0.6381
```


- Number 2 is which compound?
  Ca4Tl